Ac2US4: theoretical X-ray powder pattern (CuKα), based on a structure optimized by DFT (PBE).
Peak positions follow from Bragg's law for the DFT cell and can differ from measured ones.

Crystal structure
```
data_Ac2US4
_cell_length_a 8.3490
_cell_length_b 8.3490
_cell_length_c 8.3490
_cell_angle_alpha 144.21
_cell_angle_beta 144.21
_cell_angle_gamma 51.51
_symmetry_space_group_name_H-M 'P 1'
_symmetry_Int_Tables_number 1
_symmetry_space_group_name_Hall 'P 1'
loop_
_atom_site_label
_atom_site_type_symbol
_atom_site_fract_x
_atom_site_fract_y
_atom_site_fract_z
_atom_site_occupancy
Ac1 Ac 0.1296 0.1296 0.0000 1
Ac2 Ac 0.8704 0.8704 0.0000 1
U1 U 0.5000 0.5000 0.0000 1
S1 S 0.0000 0.5000 0.5000 1
S2 S 0.3193 0.3193 0.0000 1
S3 S 0.5000 0.0000 0.5000 1
S4 S 0.6807 0.6807 0.0000 1
```

Principal peaks in the range 10° ≤ 2θ ≤ 90°, by angle:
7.520 Å, 2θ 11.8, rel. 29; 3.628 Å, 2θ 24.5, rel. 93; 3.586 Å, 2θ 24.8, rel. 100; 2.595 Å, 2θ 34.6, rel. 53; 2.565 Å, 2θ 35.0, rel. 55; 2.086 Å, 2θ 43.4, rel. 49; 1.824 Å, 2θ 50.0, rel. 37; 1.622 Å, 2θ 56.7, rel. 20